# ZnFe2P2O8
Theoretical powder X-ray diffraction pattern, a wavelength of 1.5418 Å. Input: a DFT-relaxed cell (PBE+U, the Materials Project).
Intensities are scaled so that the largest is 100.

Principal peaks in the range 2θ = 10–80°, by angle:
- 11.85°, I 23
- 18.64°, I 30
- 28.28°, I 100
- 31.86°, I 50
- 31.95°, I 54
- 32.60°, I 61
- 35.61°, I 35
- 36.28°, I 34
- 44.77°, I 19
- 50.63°, I 18
- 59.22°, I 16
- 62.08°, I 17

Crystal structure
```
ZnFe2P2O8
1.0
8.2398 -2.5209 0.0000
8.2398 2.5209 0.0000
-8.2239 0.0000 14.9420
Zn Fe P O
4 8 8 32
Direct
0.1577 0.1577 0.3922 Zn
0.2470 0.4368 0.1060 Zn
0.5632 0.7530 0.8940 Zn
0.8423 0.8423 0.6078 Zn
0.0996 0.0850 0.7162 Fe
0.1520 0.8480 0.5000 Fe
0.2083 0.3001 0.2522 Fe
0.2531 0.7469 0.0000 Fe
0.3039 0.5080 0.7831 Fe
0.4920 0.6961 0.2169 Fe
0.6999 0.7917 0.7478 Fe
0.9150 0.9004 0.2838 Fe
0.1979 0.2257 0.6087 P
0.2046 0.3674 0.8897 P
0.4763 0.4760 0.6338 P
0.5240 0.5237 0.3662 P
0.6326 0.7954 0.1103 P
0.7743 0.8021 0.3913 P
0.8821 0.0695 0.1345 P
0.9305 0.1179 0.8655 P
0.0413 0.0842 0.9637 O
0.0437 0.4930 0.6829 O
0.0542 0.1069 0.1933 O
0.1041 0.1243 0.6037 O
0.1258 0.2941 0.5209 O
0.1476 0.0149 0.8309 O
0.2582 0.5789 0.6693 O
0.2819 0.2962 0.9774 O
0.2968 0.4710 0.8953 O
0.3509 0.4838 0.3077 O
0.3581 0.1050 0.8149 O
0.3649 0.5093 0.5356 O
0.4063 0.1177 0.1456 O
0.4211 0.7418 0.3307 O
0.4907 0.6351 0.4644 O
0.5070 0.9563 0.3171 O
0.5162 0.6491 0.6923 O
0.5209 0.0019 0.6456 O
0.5290 0.7032 0.1047 O
0.5666 0.3628 0.1469 O
0.6372 0.4334 0.8531 O
0.7038 0.7181 0.0226 O
0.7059 0.8742 0.4791 O
0.7693 0.1610 0.6467 O
0.8390 0.2307 0.3533 O
0.8757 0.8959 0.3963 O
0.8823 0.5937 0.8544 O
0.8931 0.9458 0.8067 O
0.8950 0.6419 0.1851 O
0.9158 0.9587 0.0363 O
0.9851 0.8524 0.1691 O
0.9981 0.4791 0.3544 O
```